For SnCl4, a structure optimized by DFT (GGA-PBE) gives the computed XRD peak list in this record (a wavelength of 1.5418 Å).
Intensities are scaled so that the largest is 100.

Principal peaks in the range 10 to 90 degrees two-theta, in order of falling intensity:
(hkl)	d/Å	I/Imax
2 0 0	5.242	100
0 1 1	5.988	79
1 1 -1	5.520	49
2 1 -2	3.664	39
1 1 1	4.940	37
1 0 2	4.352	32
2 3 -2	2.104	29
5 1 1	1.908	26
2 1 -1	4.227	23
0 2 0	3.634	21

Cell and atoms:
a b c (Å): 10.7797 7.2684 10.8871
angles (deg): 90.00 103.12 90.00
Space group P2_1/c (No. 14)
Inequivalent atoms, fractional coordinates:
Sn 0.2483 0.0761 0.3687 [4 per cell]
Cl 0.0739 0.0742 0.1990 [4 per cell]
Cl 0.1969 0.5733 0.0384 [4 per cell]
Cl 0.3070 0.1231 0.9239 [4 per cell]
Cl 0.4160 0.5750 0.8112 [4 per cell]